# 1
Theoretical powder XRD pattern of PrTm6Tl6 for copper Kα, from a PBE-relaxed structure.

Largest 10 diffraction maxima, in order of rising 2θ, 2θ = 10–90°:
2theta  I_rel
27.96  248
30.31  182
32.40  535
32.88  658
34.28  274
36.78  1000
38.06  252
57.79  322
60.51  238
68.94  222

```
data_PrTm6Tl6
_space_group_name_H-M_alt 'P 6/m m m'
_space_group_IT_number 191
_space_group_name_Hall '-P 6 2'
_cell_length_a 6.3817
_cell_length_b 6.3817
_cell_length_c 10.4622
_cell_angle_alpha 90.00
_cell_angle_beta 90.00
_cell_angle_gamma 120.00
loop_
_atom_site_label
_atom_site_type_symbol
_atom_site_fract_x
_atom_site_fract_y
_atom_site_fract_z
Pr1 Pr 0.0000 0.0000 0.0000
Tm1 Tm 0.0000 0.0000 0.3401
Tm2 Tm 0.3333 0.6667 0.0000
Tm3 Tm 0.3333 0.6667 0.5000
Tl1 Tl 0.0000 0.5000 0.2459
```



# 2
Theoretical powder XRD pattern of SrTcTe4 for copper Kα, from a PBE-relaxed structure.

Largest 10 diffraction maxima, in order of rising 2θ, 2θ = 10–90°:
2theta  I_rel
16.93  152
27.82  190
32.75  1000
34.25  497
39.75  94
52.42  346
57.48  316
67.75  119
68.64  193
81.52  213

```
data_SrTcTe4
_space_group_name_H-M_alt 'F -4 3 m'
_space_group_IT_number 216
_space_group_name_Hall 'F -4 2 3'
_cell_length_a 9.070
_cell_length_b 9.070
_cell_length_c 9.070
_cell_angle_alpha 90.00
_cell_angle_beta 90.00
_cell_angle_gamma 90.00
loop_
_atom_site_label
_atom_site_type_symbol
_atom_site_fract_x
_atom_site_fract_y
_atom_site_fract_z
Sr1 Sr 0.000 0.000 0.000
Tc1 Tc 0.250 0.250 0.750
Te1 Te 0.124 0.124 0.376
```